# 1
Computed powder XRD pattern of Ac3SmPt3 for λ = 1.5418 Å (Cu Kα), from a cell relaxed with PBE.

Cell and atoms:
```
data_Ac3SmPt3
_chemical_formula_sum 'Ac12 Sm4 Pt12'
_symmetry_space_group_name_H-M 'P n m a'
_symmetry_Int_Tables_number 62
_symmetry_space_group_name_Hall '-P 2ac 2n'
_cell_length_a 12.8923
_cell_length_b 4.3421
_cell_length_c 15.3969
_cell_angle_alpha 90.00
_cell_angle_beta 90.00
_cell_angle_gamma 90.00
loop_
_atom_site_label
_atom_site_type_symbol
_atom_site_fract_x
_atom_site_fract_y
_atom_site_fract_z
Ac1 Ac 0.0660 0.2500 0.0958
Ac2 Ac 0.1533 0.7500 0.5157
Ac3 Ac 0.2366 0.7500 0.7997
Sm1 Sm 0.0242 0.2500 0.7032
Pt1 Pt 0.0596 0.2500 0.3941
Pt2 Pt 0.1020 0.2500 0.8932
Pt3 Pt 0.2463 0.2500 0.6498
```

Principal peaks in the range 10° ≤ 2θ ≤ 90°, sorted by position:
2θ (°)	d (Å)	Rel. int.	h k l
27.06	3.295	30	3 0 3
27.79	3.210	98	1 1 3
29.82	2.996	76	1 0 5
30.06	2.973	44	4 0 2
30.32	2.948	70	2 1 3
34.11	2.629	100	2 1 4
34.66	2.588	69	4 1 0
41.60	2.171	63	0 2 0
43.29	2.090	31	2 1 6
48.51	1.877	35	6 0 4

***

# 2
Computed powder XRD pattern of AcSn2Pt for λ = 1.5418 Å (Cu Kα), from a cell relaxed with PBE.

Cell and atoms:
```
data_AcSn2Pt
_chemical_formula_sum 'Ac8 Sn16 Pt8'
_symmetry_space_group_name_H-M 'I m m m'
_symmetry_Int_Tables_number 71
_symmetry_space_group_name_Hall '-I 2 2'
_cell_length_a 4.8144
_cell_length_b 9.7026
_cell_length_c 18.1324
_cell_angle_alpha 90.00
_cell_angle_beta 90.00
_cell_angle_gamma 90.00
loop_
_atom_site_label
_atom_site_type_symbol
_atom_site_fract_x
_atom_site_fract_y
_atom_site_fract_z
Ac1 Ac 0.0000 0.0000 0.2052
Ac2 Ac 0.0000 0.2422 0.0000
Sn1 Sn 0.0000 0.0000 0.4188
Sn2 Sn 0.0000 0.3435 0.1957
Sn3 Sn 0.0000 0.5000 0.4225
Pt1 Pt 0.0000 0.2528 0.3500
```

Principal peaks in the range 10° ≤ 2θ ≤ 90°, sorted by position:
2θ (°)	d (Å)	Rel. int.	h k l
30.04	2.975	100	1 2 3
30.87	2.897	76	1 0 5
34.85	2.574	25	1 3 2
34.98	2.565	44	0 2 6
37.06	2.426	24	0 4 0
37.36	2.407	52	2 0 0
44.43	2.039	22	1 4 3
49.00	1.859	23	1 0 9
52.10	1.755	29	2 2 6
62.50	1.486	26	1 6 3

***

# 3
Computed powder XRD pattern of Ac3Sn3Pt8 for λ = 1.5418 Å (Cu Kα), from a cell relaxed with PBE.

Cell and atoms:
```
data_Ac3Sn3Pt8
_chemical_formula_sum 'Ac6 Sn6 Pt16'
_symmetry_space_group_name_H-M 'C 1 2/m 1'
_symmetry_Int_Tables_number 12
_symmetry_space_group_name_Hall '-C 2y'
_cell_length_a 17.0255
_cell_length_b 4.4528
_cell_length_c 9.6773
_cell_angle_alpha 90.00
_cell_angle_beta 121.04
_cell_angle_gamma 90.00
loop_
_atom_site_label
_atom_site_type_symbol
_atom_site_fract_x
_atom_site_fract_y
_atom_site_fract_z
Ac1 Ac 0.0000 0.0000 0.0000
Ac2 Ac 0.2022 0.5000 0.6452
Sn1 Sn 0.0000 0.0000 0.5000
Sn2 Sn 0.1783 0.5000 0.0073
Pt1 Pt 0.0048 0.5000 0.6968
Pt2 Pt 0.1082 0.0000 0.3701
Pt3 Pt 0.1299 0.0000 0.8259
Pt4 Pt 0.1424 0.5000 0.2439
```

Principal peaks in the range 10° ≤ 2θ ≤ 90°, sorted by position:
2θ (°)	d (Å)	Rel. int.	h k l
28.76	3.104	27	4 0 -3
31.64	2.828	20	6 0 -2
32.33	2.769	100	1 1 2
33.51	2.674	39	5 1 -1
33.63	2.665	28	5 1 -2
34.37	2.609	19	3 1 -3
36.83	2.440	34	5 1 0
37.18	2.418	47	5 1 -3
40.51	2.227	73	0 2 0
41.54	2.174	20	1 1 3

***

# 4
Computed powder XRD pattern of AcSn4Pt4 for λ = 1.5418 Å (Cu Kα), from a cell relaxed with PBE.

Cell and atoms:
```
data_AcSn4Pt4
_chemical_formula_sum 'Ac2 Sn8 Pt8'
_symmetry_space_group_name_H-M 'P 42/n m c'
_symmetry_Int_Tables_number 137
_cell_length_a 6.8074
_cell_length_b 6.8074
_cell_length_c 8.8638
_cell_angle_alpha 90.00
_cell_angle_beta 90.00
_cell_angle_gamma 90.00
loop_
_symmetry_equiv_pos_as_xyz
'x,y,z'
'-x,-y,-z'
'-y+1/2,x,z+1/2'
'y+1/2,-x,-z+1/2'
'-x+1/2,-y+1/2,z'
'x+1/2,y+1/2,-z'
'y,-x+1/2,z+1/2'
'-y,x+1/2,-z+1/2'
'x+1/2,-y,-z'
'-x+1/2,y,z'
'-y,-x,-z+1/2'
'y,x,z+1/2'
'-x,y+1/2,-z'
'x,-y+1/2,z'
'y+1/2,x+1/2,-z+1/2'
'-y+1/2,-x+1/2,z+1/2'
loop_
_atom_site_label
_atom_site_type_symbol
_atom_site_fract_x
_atom_site_fract_y
_atom_site_fract_z
Ac1 Ac 0.2500 0.7500 0.2500
Sn1 Sn 0.0098 0.2500 0.1200
Pt1 Pt 0.0449 0.2500 0.4233
```

Principal peaks in the range 10° ≤ 2θ ≤ 90°, sorted by position:
2θ (°)	d (Å)	Rel. int.	h k l
27.35	3.260	23	1 1 2
31.06	2.879	100	2 1 1
33.05	2.710	54	1 0 3
37.36	2.407	36	2 2 0
42.64	2.120	20	2 1 3
42.75	2.115	23	2 2 2
50.73	1.800	45	3 0 3
53.87	1.702	24	4 0 0
56.44	1.630	23	2 2 4
77.14	1.237	19	4 3 3

***

# 5
Computed powder XRD pattern of Ac3Sn2Pt3 for λ = 1.5418 Å (Cu Kα), from a cell relaxed with PBE.

Cell and atoms:
```
data_Ac3Sn2Pt3
_chemical_formula_sum 'Ac12 Sn8 Pt12'
_symmetry_space_group_name_H-M 'C m c m'
_symmetry_Int_Tables_number 63
_symmetry_space_group_name_Hall '-C 2c 2'
_cell_length_a 4.5961
_cell_length_b 12.1102
_cell_length_c 15.4439
_cell_angle_alpha 90.00
_cell_angle_beta 90.00
_cell_angle_gamma 90.00
loop_
_atom_site_label
_atom_site_type_symbol
_atom_site_fract_x
_atom_site_fract_y
_atom_site_fract_z
Ac1 Ac 0.0000 0.0741 0.1097
Ac2 Ac 0.0000 0.3640 0.2500
Sn1 Sn 0.0000 0.2182 0.5871
Pt1 Pt 0.0000 0.3277 0.7500
Pt2 Pt 0.0000 0.3916 0.0425
```

Principal peaks in the range 10° ≤ 2θ ≤ 90°, sorted by position:
2θ (°)	d (Å)	Rel. int.	h k l
29.47	3.031	40	0 4 0
30.03	2.976	73	1 3 1
31.14	2.872	100	1 1 4
32.54	2.751	24	0 2 5
34.33	2.612	81	1 3 3
34.86	2.574	26	0 0 6
37.73	2.384	32	1 3 4
39.20	2.298	50	2 0 0
41.75	2.164	18	1 3 5
64.07	1.453	17	1 1 10

***

# 6
Computed powder XRD pattern of Ac3Sn3Pt for λ = 1.5418 Å (Cu Kα), from a cell relaxed with PBE.

Cell and atoms:
```
data_Ac3Sn3Pt
_chemical_formula_sum 'Ac12 Sn12 Pt4'
_symmetry_space_group_name_H-M 'C 1 2/m 1'
_symmetry_Int_Tables_number 12
_symmetry_space_group_name_Hall '-C 2y'
_cell_length_a 12.0412
_cell_length_b 4.8562
_cell_length_c 16.1047
_cell_angle_alpha 90.00
_cell_angle_beta 110.51
_cell_angle_gamma 90.00
loop_
_atom_site_label
_atom_site_type_symbol
_atom_site_fract_x
_atom_site_fract_y
_atom_site_fract_z
Ac1 Ac 0.0298 0.0000 0.3845
Ac2 Ac 0.0993 0.0000 0.9210
Ac3 Ac 0.2502 0.0000 0.2398
Sn1 Sn 0.0424 0.5000 0.2380
Sn2 Sn 0.1197 0.5000 0.0769
Sn3 Sn 0.1528 0.5000 0.5333
Pt1 Pt 0.2436 0.0000 0.6133
```

Principal peaks in the range 10° ≤ 2θ ≤ 90°, sorted by position:
2θ (°)	d (Å)	Rel. int.	h k l
28.53	3.128	100	1 1 3
28.81	3.099	100	1 1 -4
28.96	3.083	47	3 1 -1
29.68	3.010	61	4 0 -2
32.79	2.731	35	3 1 -4
35.39	2.536	86	3 1 2
35.72	2.514	36	0 0 6
37.02	2.428	82	0 2 0
56.81	1.621	38	7 1 -3
61.79	1.501	34	1 1 9

***

# 7
Computed powder XRD pattern of Ac3ZnSn6Pt2 for λ = 1.5418 Å (Cu Kα), from a cell relaxed with PBE.

Cell and atoms:
```
data_Ac3ZnSn6Pt2
_chemical_formula_sum 'Ac3 Zn1 Sn6 Pt2'
_symmetry_space_group_name_H-M 'P -3 m 1'
_symmetry_Int_Tables_number 164
_symmetry_space_group_name_Hall '-P 3 2"'
_cell_length_a 6.8426
_cell_length_b 6.8426
_cell_length_c 8.5752
_cell_angle_alpha 90.00
_cell_angle_beta 90.00
_cell_angle_gamma 120.00
loop_
_atom_site_label
_atom_site_type_symbol
_atom_site_fract_x
_atom_site_fract_y
_atom_site_fract_z
Ac1 Ac 0.0000 0.0000 0.0000
Ac2 Ac 0.3333 0.6667 0.6794
Zn1 Zn 0.0000 0.0000 0.5000
Sn1 Sn 0.1867 0.3735 0.2966
Pt1 Pt 0.3333 0.6667 0.0377
```

Principal peaks in the range 10° ≤ 2θ ≤ 90°, sorted by position:
2θ (°)	d (Å)	Rel. int.	h k l
25.64	3.474	36	0 1 2
26.04	3.421	96	1 1 0
31.29	2.858	50	0 0 3
31.96	2.800	100	0 2 1
33.51	2.674	34	1 1 2
36.87	2.438	86	2 0 2
41.15	2.194	35	1 1 3
44.02	2.057	41	0 2 3
53.57	1.711	49	2 2 0
63.36	1.468	36	2 2 3

***

# 8
Computed powder XRD pattern of SrAc3Pt3 for λ = 1.5418 Å (Cu Kα), from a cell relaxed with PBE.

Cell and atoms:
```
data_SrAc3Pt3
_chemical_formula_sum 'Sr4 Ac12 Pt12'
_symmetry_space_group_name_H-M 'P n m a'
_symmetry_Int_Tables_number 62
_symmetry_space_group_name_Hall '-P 2ac 2n'
_cell_length_a 12.8549
_cell_length_b 4.3326
_cell_length_c 15.7122
_cell_angle_alpha 90.00
_cell_angle_beta 90.00
_cell_angle_gamma 90.00
loop_
_atom_site_label
_atom_site_type_symbol
_atom_site_fract_x
_atom_site_fract_y
_atom_site_fract_z
Sr1 Sr 0.0182 0.2500 0.2019
Ac1 Ac 0.0562 0.2500 0.5952
Ac2 Ac 0.1648 0.7500 0.0198
Ac3 Ac 0.2439 0.7500 0.3012
Pt1 Pt 0.0656 0.2500 0.9128
Pt2 Pt 0.1157 0.2500 0.4027
Pt3 Pt 0.2292 0.7500 0.6552
```

Principal peaks in the range 10° ≤ 2θ ≤ 90°, sorted by position:
2θ (°)	d (Å)	Rel. int.	h k l
27.61	3.231	100	1 1 3
30.04	2.974	35	4 0 2
30.17	2.963	64	2 1 3
31.50	2.840	39	3 1 2
33.81	2.651	50	2 1 4
34.04	2.633	35	3 1 3
34.76	2.581	70	4 1 0
37.07	2.425	33	2 0 6
41.69	2.166	58	0 2 0
42.73	2.116	47	2 1 6

***

# 9
Computed powder XRD pattern of SrAc3Pt2 for λ = 1.5418 Å (Cu Kα), from a cell relaxed with PBE.

Cell and atoms:
```
data_SrAc3Pt2
_chemical_formula_sum 'Sr4 Ac12 Pt8'
_symmetry_space_group_name_H-M 'I m m a'
_symmetry_Int_Tables_number 74
_symmetry_space_group_name_Hall '-I 2b 2'
_cell_length_a 8.6494
_cell_length_b 12.2531
_cell_length_c 8.6977
_cell_angle_alpha 90.00
_cell_angle_beta 90.00
_cell_angle_gamma 90.00
loop_
_atom_site_label
_atom_site_type_symbol
_atom_site_fract_x
_atom_site_fract_y
_atom_site_fract_z
Sr1 Sr 0.0000 0.2500 0.2488
Ac1 Ac 0.0000 0.2500 0.7487
Ac2 Ac 0.2501 0.0000 0.0000
Pt1 Pt 0.0000 0.0040 0.7500
```

Principal peaks in the range 10° ≤ 2θ ≤ 90°, sorted by position:
2θ (°)	d (Å)	Rel. int.	h k l
14.46	6.127	35	0 2 0
25.16	3.540	20	2 2 0
29.13	3.065	100	2 0 2
32.66	2.742	20	2 2 2
41.69	2.166	64	4 0 0
51.54	1.773	14	0 4 4
51.75	1.767	14	4 4 0
60.39	1.533	13	4 0 4
68.45	1.371	24	4 4 4
76.19	1.250	14	6 4 2

***

# 10
Computed powder XRD pattern of SrAc8Pt5 for λ = 1.5418 Å (Cu Kα), from a cell relaxed with PBE.

Cell and atoms:
```
data_SrAc8Pt5
_chemical_formula_sum 'Sr2 Ac16 Pt10'
_symmetry_space_group_name_H-M 'C 1 2/m 1'
_symmetry_Int_Tables_number 12
_symmetry_space_group_name_Hall '-C 2y'
_cell_length_a 22.8904
_cell_length_b 4.4700
_cell_length_c 10.9417
_cell_angle_alpha 90.00
_cell_angle_beta 103.34
_cell_angle_gamma 90.00
loop_
_atom_site_label
_atom_site_type_symbol
_atom_site_fract_x
_atom_site_fract_y
_atom_site_fract_z
Sr1 Sr 0.0000 0.0000 0.0000
Ac1 Ac 0.0737 0.0000 0.6552
Ac2 Ac 0.0931 0.5000 0.3429
Ac3 Ac 0.1742 0.5000 0.9902
Ac4 Ac 0.2380 0.5000 0.6586
Pt1 Pt 0.0000 0.5000 0.5000
Pt2 Pt 0.1646 0.0000 0.4927
Pt3 Pt 0.2035 0.0000 0.8294
```

Principal peaks in the range 10° ≤ 2θ ≤ 90°, sorted by position:
2θ (°)	d (Å)	Rel. int.	h k l
10.08	8.773	36	2 0 -1
25.65	3.473	100	3 1 1
25.90	3.440	42	6 0 -2
27.01	3.301	55	3 1 -2
30.33	2.947	40	3 1 2
32.29	2.773	33	3 1 -3
36.51	2.461	46	3 1 3
40.36	2.235	41	0 2 0
40.82	2.211	72	9 1 -1
46.28	1.962	36	6 0 4

***

# 11
Computed powder XRD pattern of Ac2Tb3Pt4 for λ = 1.5418 Å (Cu Kα), from a cell relaxed with PBE.

Cell and atoms:
```
data_Ac2Tb3Pt4
_chemical_formula_sum 'Ac4 Tb6 Pt8'
_symmetry_space_group_name_H-M 'P 1 21/c 1'
_symmetry_Int_Tables_number 14
_symmetry_space_group_name_Hall '-P 2ybc'
_cell_length_a 7.7447
_cell_length_b 7.8039
_cell_length_c 8.1388
_cell_angle_alpha 90.00
_cell_angle_beta 109.21
_cell_angle_gamma 90.00
loop_
_atom_site_label
_atom_site_type_symbol
_atom_site_fract_x
_atom_site_fract_y
_atom_site_fract_z
Ac1 Ac 0.1981 0.1752 0.0853
Tb1 Tb 0.2485 0.6621 0.2494
Tb2 Tb 0.5000 0.0000 0.5000
Pt1 Pt 0.0957 0.5423 0.8705
Pt2 Pt 0.4972 0.6354 0.6250
```

Principal peaks in the range 10° ≤ 2θ ≤ 90°, sorted by position:
2θ (°)	d (Å)	Rel. int.	h k l
29.91	2.987	46	2 1 -2
30.04	2.975	36	1 2 1
31.80	2.814	81	1 1 2
32.11	2.788	35	1 2 -2
32.78	2.732	100	2 2 -1
33.59	2.668	27	2 2 0
35.02	2.562	81	1 1 -3
36.47	2.464	57	0 3 1
36.60	2.455	34	3 0 -2
36.87	2.438	32	3 0 0

***

# 12
Computed powder XRD pattern of Ac2TbPt2 for λ = 1.5418 Å (Cu Kα), from a cell relaxed with PBE.

Cell and atoms:
```
data_Ac2TbPt2
_chemical_formula_sum 'Ac8 Tb4 Pt8'
_symmetry_space_group_name_H-M 'I b a m'
_symmetry_Int_Tables_number 72
_symmetry_space_group_name_Hall '-I 2 2c'
_cell_length_a 8.3013
_cell_length_b 11.4485
_cell_length_c 6.5718
_cell_angle_alpha 90.00
_cell_angle_beta 90.00
_cell_angle_gamma 90.00
loop_
_atom_site_label
_atom_site_type_symbol
_atom_site_fract_x
_atom_site_fract_y
_atom_site_fract_z
Ac1 Ac 0.1390 0.1534 0.0000
Tb1 Tb 0.0000 0.5000 0.2500
Pt1 Pt 0.2429 0.1004 0.5000
```

Principal peaks in the range 10° ≤ 2θ ≤ 90°, sorted by position:
2θ (°)	d (Å)	Rel. int.	h k l
25.69	3.467	86	1 3 0
26.57	3.355	95	2 1 1
27.14	3.286	86	0 0 2
30.28	2.952	66	1 1 2
34.82	2.577	80	2 0 2
35.89	2.502	74	1 4 1
38.65	2.330	100	3 2 1
41.86	2.158	80	0 4 2
55.92	1.644	63	0 0 4
59.67	1.550	50	5 2 1